This entry pairs a crystal structure of Na2ThMo3O12 with its calculated XRD peak list. Radiation: λ = 1.5418 Å (Cu Kα). Structure: a DFT-relaxed cell (PBE+U, the Materials Project).

The 10 most intense peaks (2θ = 5–70°), sorted by position:
- 14.50°, I 57
- 15.53°, I 26
- 17.00°, I 39
- 24.02°, I 20
- 27.96°, I 100
- 28.14°, I 97
- 30.48°, I 26
- 33.47°, I 36
- 45.90°, I 61
- 56.41°, I 28

Structural model:
```
data_Na2ThMo3O12
_chemical_formula_sum 'Na4 Th2 Mo6 O24'
_cell_length_a 6.972
_cell_length_b 6.972
_cell_length_c 12.014
_cell_angle_alpha 99.74
_cell_angle_beta 99.74
_cell_angle_gamma 114.54
_space_group_name_H-M_alt 'P 1'
_space_group_IT_number 1
_space_group_name_Hall 'P 1'
loop_
_atom_site_label
_atom_site_fract_x
_atom_site_fract_y
_atom_site_fract_z
Na1 0.039 0.291 0.078
Na2 0.291 0.039 0.578
Na3 0.709 0.961 0.422
Na4 0.961 0.709 0.922
Th1 0.377 0.623 0.750
Th2 0.623 0.377 0.250
Mo1 0.126 0.874 0.250
Mo2 0.207 0.458 0.414
Mo3 0.458 0.207 0.914
Mo4 0.542 0.793 0.086
Mo5 0.793 0.542 0.586
Mo6 0.874 0.126 0.750
O1 0.003 0.572 0.712
O2 0.115 0.688 0.125
O3 0.118 0.198 0.440
O4 0.146 0.241 0.721
O5 0.198 0.118 0.940
O6 0.241 0.146 0.221
O7 0.245 0.645 0.552
O8 0.312 0.885 0.375
O9 0.355 0.755 0.948
O10 0.428 0.997 0.788
O11 0.454 0.529 0.119
O12 0.471 0.546 0.381
O13 0.529 0.454 0.619
O14 0.546 0.471 0.881
O15 0.572 0.003 0.212
O16 0.645 0.245 0.052
O17 0.688 0.115 0.625
O18 0.755 0.355 0.448
O19 0.759 0.854 0.779
O20 0.802 0.882 0.060
O21 0.854 0.759 0.279
O22 0.882 0.802 0.560
O23 0.885 0.312 0.875
O24 0.997 0.428 0.288
```



This entry pairs a crystal structure of Na6UMo4O18 with its calculated XRD peak list. Radiation: λ = 1.5418 Å (Cu Kα). Structure: a DFT-relaxed cell (PBE+U, the Materials Project).

The 10 most intense peaks (2θ = 5–70°), sorted by position:
- 13.05°, I 50
- 17.42°, I 100
- 22.78°, I 46
- 23.92°, I 52
- 27.75°, I 41
- 28.08°, I 39
- 28.26°, I 57
- 29.96°, I 39
- 30.31°, I 50
- 41.75°, I 38

Structural model:
```
data_Na6UMo4O18
_chemical_formula_sum 'Na12 U2 Mo8 O36'
_cell_length_a 7.189
_cell_length_b 9.755
_cell_length_c 13.598
_cell_angle_alpha 74.21
_cell_angle_beta 86.73
_cell_angle_gamma 83.00
_space_group_name_H-M_alt 'P 1'
_space_group_IT_number 1
_space_group_name_Hall 'P 1'
loop_
_atom_site_label
_atom_site_fract_x
_atom_site_fract_y
_atom_site_fract_z
Na1 0.023 0.086 0.111
Na2 0.185 0.537 0.573
Na3 0.210 0.178 0.338
Na4 0.275 0.704 0.781
Na5 0.391 0.750 0.063
Na6 0.430 0.838 0.466
Na7 0.570 0.162 0.534
Na8 0.609 0.250 0.937
Na9 0.725 0.296 0.219
Na10 0.790 0.822 0.662
Na11 0.815 0.463 0.427
Na12 0.977 0.914 0.889
U1 0.074 0.318 0.826
U2 0.926 0.682 0.174
Mo1 0.073 0.129 0.595
Mo2 0.239 0.408 0.068
Mo3 0.343 0.512 0.350
Mo4 0.471 0.010 0.826
Mo5 0.529 0.990 0.174
Mo6 0.657 0.488 0.650
Mo7 0.761 0.592 0.932
Mo8 0.927 0.871 0.405
O1 0.001 0.853 0.094
O2 0.033 0.960 0.681
O3 0.089 0.255 0.673
O4 0.115 0.286 0.164
O5 0.117 0.590 0.046
O6 0.119 0.804 0.489
O7 0.139 0.495 0.751
O8 0.157 0.440 0.433
O9 0.239 0.617 0.227
O10 0.269 0.346 0.952
O11 0.276 0.103 0.517
O12 0.309 0.880 0.880
O13 0.340 0.017 0.090
O14 0.365 0.194 0.816
O15 0.444 0.010 0.296
O16 0.454 0.622 0.408
O17 0.466 0.406 0.110
O18 0.494 0.640 0.658
O19 0.506 0.360 0.342
O20 0.534 0.594 0.890
O21 0.546 0.378 0.592
O22 0.556 0.990 0.704
O23 0.635 0.806 0.184
O24 0.660 0.983 0.910
O25 0.691 0.120 0.120
O26 0.724 0.897 0.483
O27 0.731 0.654 0.048
O28 0.761 0.383 0.773
O29 0.843 0.560 0.567
O30 0.861 0.505 0.249
O31 0.881 0.196 0.511
O32 0.883 0.410 0.954
O33 0.885 0.714 0.836
O34 0.911 0.745 0.327
O35 0.967 0.040 0.319
O36 0.999 0.147 0.906
```



This entry pairs a crystal structure of Na6U2Mo4O21 with its calculated XRD peak list. Radiation: λ = 1.5418 Å (Cu Kα). Structure: a DFT-relaxed cell (PBE+U, the Materials Project).

The 10 most intense peaks (2θ = 5–70°), sorted by position:
- 14.61°, I 63
- 15.73°, I 94
- 22.16°, I 35
- 22.74°, I 33
- 27.80°, I 47
- 28.02°, I 100
- 28.56°, I 23
- 29.00°, I 49
- 31.92°, I 25
- 34.04°, I 23

Structural model:
```
data_Na6U2Mo4O21
_chemical_formula_sum 'Na6 U2 Mo4 O21'
_cell_length_a 7.793
_cell_length_b 8.309
_cell_length_c 8.868
_cell_angle_alpha 72.08
_cell_angle_beta 78.63
_cell_angle_gamma 65.40
_space_group_name_H-M_alt 'P 1'
_space_group_IT_number 1
_space_group_name_Hall 'P 1'
loop_
_atom_site_label
_atom_site_fract_x
_atom_site_fract_y
_atom_site_fract_z
Na1 0.047 0.099 0.151
Na2 0.229 0.404 0.845
Na3 0.446 0.745 0.489
Na4 0.554 0.255 0.511
Na5 0.771 0.596 0.155
Na6 0.953 0.901 0.849
U1 0.286 0.578 0.185
U2 0.714 0.422 0.815
Mo1 0.056 0.251 0.484
Mo2 0.439 0.914 0.855
Mo3 0.561 0.086 0.145
Mo4 0.944 0.749 0.516
O1 0.051 0.797 0.310
O2 0.105 0.571 0.079
O3 0.118 0.680 0.651
O4 0.174 0.416 0.425
O5 0.220 0.042 0.449
O6 0.247 0.865 0.998
O7 0.347 0.141 0.058
O8 0.357 0.138 0.728
O9 0.458 0.591 0.296
O10 0.495 0.240 0.269
O11 0.500 0.500 0.000
O12 0.505 0.760 0.731
O13 0.542 0.409 0.704
O14 0.643 0.862 0.272
O15 0.653 0.859 0.942
O16 0.753 0.135 0.002
O17 0.780 0.958 0.551
O18 0.826 0.584 0.575
O19 0.882 0.320 0.349
O20 0.895 0.429 0.921
O21 0.949 0.203 0.690
```



This entry pairs a crystal structure of Na5YMo4O16 with its calculated XRD peak list. Radiation: λ = 1.5418 Å (Cu Kα). Structure: a DFT-relaxed cell (PBE+U, the Materials Project).

The 10 most intense peaks (2θ = 5–70°), sorted by position:
- 10.81°, I 26
- 18.78°, I 37
- 24.31°, I 20
- 28.86°, I 100
- 30.90°, I 10
- 34.66°, I 13
- 39.70°, I 10
- 47.10°, I 22
- 53.70°, I 14
- 58.60°, I 18

Structural model:
```
data_Na5YMo4O16
_chemical_formula_sum 'Na10 Y2 Mo8 O32'
_cell_length_a 10.025
_cell_length_b 10.025
_cell_length_c 10.025
_cell_angle_alpha 109.47
_cell_angle_beta 109.47
_cell_angle_gamma 109.47
_space_group_name_H-M_alt 'P 1'
_space_group_IT_number 1
_space_group_name_Hall 'P 1'
loop_
_atom_site_label
_atom_site_fract_x
_atom_site_fract_y
_atom_site_fract_z
Na1 0.111 0.278 0.075
Na2 0.222 0.796 0.832
Na3 0.296 0.964 0.575
Na4 0.375 0.125 0.250
Na5 0.464 0.389 0.668
Na6 0.536 0.611 0.332
Na7 0.625 0.875 0.750
Na8 0.704 0.036 0.425
Na9 0.778 0.204 0.168
Na10 0.889 0.722 0.925
Y1 0.125 0.375 0.750
Y2 0.875 0.625 0.250
Mo1 0.045 0.070 0.337
Mo2 0.208 0.545 0.475
Mo3 0.233 0.708 0.163
Mo4 0.430 0.267 0.975
Mo5 0.570 0.733 0.025
Mo6 0.767 0.292 0.837
Mo7 0.792 0.455 0.525
Mo8 0.955 0.930 0.663
O1 0.006 0.518 0.654
O2 0.013 0.157 0.210
O3 0.018 0.864 0.513
O4 0.071 0.150 0.799
O5 0.148 0.494 0.013
O6 0.150 0.728 0.299
O7 0.198 0.829 0.073
O8 0.228 0.429 0.579
O9 0.257 0.125 0.427
O10 0.304 0.513 0.356
O11 0.329 0.757 0.632
O12 0.343 0.053 0.856
O13 0.350 0.650 0.921
O14 0.364 0.352 0.846
O15 0.375 0.302 0.132
O16 0.447 0.804 0.290
O17 0.553 0.196 0.710
O18 0.625 0.698 0.868
O19 0.636 0.648 0.154
O20 0.650 0.350 0.079
O21 0.657 0.947 0.144
O22 0.671 0.243 0.368
O23 0.696 0.487 0.644
O24 0.743 0.875 0.573
O25 0.772 0.571 0.421
O26 0.802 0.171 0.927
O27 0.850 0.272 0.701
O28 0.852 0.506 0.987
O29 0.929 0.850 0.201
O30 0.982 0.136 0.487
O31 0.987 0.843 0.790
O32 0.994 0.482 0.346
```



This entry pairs a crystal structure of NaYMo2O8 with its calculated XRD peak list. Radiation: λ = 1.5418 Å (Cu Kα). Structure: a DFT-relaxed cell (PBE+U, the Materials Project).

The 10 most intense peaks (2θ = 5–70°), sorted by position:
- 18.50°, I 22
- 28.55°, I 100
- 28.88°, I 8
- 31.27°, I 11
- 33.95°, I 16
- 46.82°, I 32
- 48.77°, I 14
- 53.99°, I 16
- 57.49°, I 26
- 59.09°, I 11

Structural model:
```
data_NaYMo2O8
_chemical_formula_sum 'Na1 Y1 Mo2 O8'
_cell_length_a 6.832
_cell_length_b 6.832
_cell_length_c 6.832
_cell_angle_alpha 134.52
_cell_angle_beta 134.52
_cell_angle_gamma 66.27
_space_group_name_H-M_alt 'P 1'
_space_group_IT_number 1
_space_group_name_Hall 'P 1'
loop_
_atom_site_label
_atom_site_fract_x
_atom_site_fract_y
_atom_site_fract_z
Na1 0.000 0.000 0.000
Y1 0.750 0.250 0.500
Mo1 0.250 0.750 0.500
Mo2 0.500 0.500 0.000
O1 0.007 0.913 0.583
O2 0.087 0.670 0.094
O3 0.166 0.269 0.613
O4 0.330 0.424 0.417
O5 0.447 0.834 0.103
O6 0.576 0.993 0.906
O7 0.655 0.553 0.387
O8 0.731 0.345 0.897
```



This entry pairs a crystal structure of NaZn2Mo2O10 with its calculated XRD peak list. Radiation: λ = 1.5418 Å (Cu Kα). Structure: a DFT-relaxed cell (PBE+U, the Materials Project).

The 10 most intense peaks (2θ = 5–70°), sorted by position:
- 12.67°, I 40
- 17.32°, I 100
- 24.89°, I 91
- 26.73°, I 69
- 29.25°, I 60
- 30.51°, I 32
- 31.84°, I 39
- 33.89°, I 99
- 34.78°, I 28
- 52.20°, I 46

Structural model:
```
data_NaZn2Mo2O10
_chemical_formula_sum 'Na1 Zn2 Mo2 O10'
_cell_length_a 5.692
_cell_length_b 5.692
_cell_length_c 7.795
_cell_angle_alpha 111.42
_cell_angle_beta 111.42
_cell_angle_gamma 69.08
_space_group_name_H-M_alt 'P 1'
_space_group_IT_number 1
_space_group_name_Hall 'P 1'
loop_
_atom_site_label
_atom_site_fract_x
_atom_site_fract_y
_atom_site_fract_z
Na1 0.000 0.000 0.000
Zn1 0.000 0.500 0.500
Zn2 0.500 0.000 0.500
Mo1 0.423 0.423 0.217
Mo2 0.577 0.577 0.783
O1 0.136 0.136 0.553
O2 0.229 0.682 0.758
O3 0.267 0.267 0.988
O4 0.318 0.771 0.242
O5 0.333 0.333 0.388
O6 0.667 0.667 0.612
O7 0.682 0.229 0.758
O8 0.733 0.733 0.012
O9 0.771 0.318 0.242
O10 0.864 0.864 0.447
```



> Which formula does entry 2 have?

Na6UMo4O18